No. 1
Diffraction record for NbRu2Cl. The powder diffractogram is simulated, not measured: it uses a crystal structure in the Materials Project, relaxed with PBE and CuKα.
Intensities are scaled so that the largest is 100.

Atomic structure:
Unit cell a=6.3341 b=6.3341 c=6.3341 alpha=90.00 beta=90.00 gamma=90.00
Space group Fm-3m (No. 225)
One atom of each set of equivalent atoms:
Nb 0.0000 0.0000 0.0000 (multiplicity 4)
Ru 0.2500 0.2500 0.2500 (multiplicity 8)
Cl 0.0000 0.0000 0.5000 (multiplicity 4)

The 11 most intense peaks (2θ from 10° to 90°), in order of rising 2θ:
24.3°, I = 8
28.2°, I = 6
40.3°, I = 100
47.6°, I = 4
49.9°, I = 2
58.3°, I = 16
64.1°, I = 2
66.0°, I = 2
73.2°, I = 32
78.5°, I = 1
87.0°, I = 10

---

No. 2
Diffraction record for NbSe2Cl2. The powder diffractogram is simulated, not measured: it uses a crystal structure in the Materials Project, relaxed with PBE and CuKα.
Intensities are scaled so that the largest is 100.

Atomic structure:
Unit cell a=6.4456 b=6.6140 c=7.9521 alpha=67.43 beta=69.81 gamma=60.89
Space group P-1 (No. 2)
One atom of each set of equivalent atoms:
Nb 0.1294 0.2409 0.0000 (multiplicity 2)
Se 0.0731 0.6038 0.6951 (multiplicity 2)
Se 0.2709 0.4561 0.1297 (multiplicity 2)
Cl 0.1477 0.9884 0.8008 (multiplicity 2)
Cl 0.4319 0.8535 0.1997 (multiplicity 2)

The 12 most intense peaks (2θ from 10° to 90°), in order of rising 2θ:
12.3°, I = 100
15.9°, I = 13
16.1°, I = 33
16.5°, I = 13
17.4°, I = 23
30.1°, I = 56
35.2°, I = 15
37.1°, I = 12
37.5°, I = 26
37.6°, I = 16
42.8°, I = 17
48.8°, I = 14

---

No. 3
Diffraction record for Nb3Se5Cl7. The powder diffractogram is simulated, not measured: it uses a crystal structure in the Materials Project, relaxed with PBE and CuKα.
Intensities are scaled so that the largest is 100.

Atomic structure:
Unit cell a=8.2308 b=12.7933 c=8.5908 alpha=90.00 beta=109.30 gamma=90.00
Space group P2_1/m (No. 11)
One atom of each set of equivalent atoms:
Nb 0.0260 0.1102 0.0591 (multiplicity 4)
Nb 0.3981 0.2500 0.4741 (multiplicity 2)
Se 0.1692 0.0258 0.8531 (multiplicity 4)
Se 0.2740 0.5318 0.1237 (multiplicity 4)
Se 0.4198 0.2500 0.7474 (multiplicity 2)
Cl 0.0556 0.7500 0.1744 (multiplicity 2)
Cl 0.1551 0.1169 0.3860 (multiplicity 4)
Cl 0.1570 0.7500 0.8590 (multiplicity 2)
Cl 0.2784 0.2500 0.1252 (multiplicity 2)
Cl 0.4104 0.6187 0.5411 (multiplicity 4)

The 12 most intense peaks (2θ from 10° to 90°), in order of rising 2θ:
10.9°, I = 55
12.9°, I = 100
13.3°, I = 18
14.7°, I = 20
17.7°, I = 43
18.0°, I = 23
18.2°, I = 33
30.4°, I = 18
31.2°, I = 48
35.7°, I = 34
36.4°, I = 19
44.2°, I = 22

---

No. 4
Diffraction record for NbTeCl9. The powder diffractogram is simulated, not measured: it uses a crystal structure in the Materials Project, relaxed with PBE and CuKα.
Intensities are scaled so that the largest is 100.

Atomic structure:
Unit cell a=6.7048 b=9.7913 c=11.8212 alpha=106.44 beta=105.23 gamma=91.15
Space group P-1 (No. 2)
One atom of each set of equivalent atoms:
Nb 0.1342 0.2657 0.2112 (multiplicity 2)
Te 0.2996 0.3384 0.6642 (multiplicity 2)
Cl 0.0086 0.9427 0.7734 (multiplicity 2)
Cl 0.0275 0.7920 0.4330 (multiplicity 2)
Cl 0.1000 0.6010 0.6721 (multiplicity 2)
Cl 0.1100 0.7418 0.9701 (multiplicity 2)
Cl 0.2759 0.5034 0.2157 (multiplicity 2)
Cl 0.2796 0.3669 0.8641 (multiplicity 2)
Cl 0.3772 0.1565 0.1197 (multiplicity 2)
Cl 0.3830 0.3090 0.4148 (multiplicity 2)
Cl 0.4769 0.1317 0.6576 (multiplicity 2)

The 12 most intense peaks (2θ from 10° to 90°), in order of rising 2θ:
15.9°, I = 46
16.2°, I = 100
17.5°, I = 28
19.0°, I = 24
22.1°, I = 21
30.3°, I = 35
30.4°, I = 16
30.8°, I = 18
39.4°, I = 15
39.5°, I = 22
39.8°, I = 18
40.1°, I = 16

---

No. 5
Diffraction record for NbTeCl9. The powder diffractogram is simulated, not measured: it uses a crystal structure in the Materials Project, relaxed with PBE and CuKα.
Intensities are scaled so that the largest is 100.

Atomic structure:
Unit cell a=22.6607 b=6.6692 c=20.0757 alpha=90.00 beta=107.18 gamma=90.00
Space group C2/c (No. 15)
One atom of each set of equivalent atoms:
Nb 0.1457 0.2047 0.3751 (multiplicity 8)
Te 0.0820 0.3043 0.1612 (multiplicity 8)
Cl 0.0264 0.4223 0.5968 (multiplicity 8)
Cl 0.0454 0.0527 0.3598 (multiplicity 8)
Cl 0.0864 0.4700 0.2940 (multiplicity 8)
Cl 0.0886 0.1098 0.0646 (multiplicity 8)
Cl 0.1379 0.3781 0.4713 (multiplicity 8)
Cl 0.1459 0.0256 0.2638 (multiplicity 8)
Cl 0.1777 0.4591 0.1750 (multiplicity 8)
Cl 0.1959 0.0723 0.9344 (multiplicity 8)
Cl 0.2347 0.3729 0.3723 (multiplicity 8)

The 12 most intense peaks (2θ from 10° to 90°), in order of rising 2θ:
14.3°, I = 100
15.0°, I = 33
16.3°, I = 44
16.4°, I = 33
17.8°, I = 25
18.5°, I = 35
23.8°, I = 33
26.0°, I = 25
30.2°, I = 40
30.7°, I = 33
32.5°, I = 26
39.3°, I = 23